Record 1
Simulated X-ray powder pattern of FeTe3Ir for Cu Kα (λ = 1.5418 Å), from a PBE-relaxed structure.
Lines closer than 0.1° are merged.

Structure:
a b c (Å): 4.871 4.871 4.871
angles (deg): 90.00 90.00 90.00
Sites, in units of the cell vectors:
Fe 0.000 0.000 0.000
Te 0.000 0.000 0.500
Te 0.000 0.500 0.000
Te 0.500 0.000 0.000
Ir 0.500 0.500 0.500

The 10 most intense peaks (2θ = 10–80°), most intense first:
| 2theta | intensity |
| --- | --- |
| 31.8 | 100 |
| 36.9 | 77 |
| 53.2 | 53 |
| 63.3 | 42 |
| 66.5 | 18 |
| 25.9 | 16 |
| 78.5 | 8 |
| 45.6 | 7 |
| 72.6 | 3 |
| 60.1 | 3 |

***

Record 2
Simulated X-ray powder pattern of Ti2FeIr9 for Cu Kα (λ = 1.5418 Å), from a PBE-relaxed structure.
Lines closer than 0.1° are merged.

Structure:
a b c (Å): 3.860 3.860 11.597
angles (deg): 90.00 90.00 90.00
Sites, in units of the cell vectors:
Ti 0.000 0.000 0.168
Ti 0.000 0.000 0.832
Fe 0.000 0.000 0.500
Ir 0.000 0.500 0.000
Ir 0.000 0.500 0.336
Ir 0.000 0.500 0.664
Ir 0.500 0.000 0.000
Ir 0.500 0.000 0.336
Ir 0.500 0.000 0.664
Ir 0.500 0.500 0.168
Ir 0.500 0.500 0.500
Ir 0.500 0.500 0.832

The 10 most intense peaks (2θ = 10–80°), most intense first:
| 2theta | intensity |
| --- | --- |
| 40.5 | 100 |
| 47.1 | 49 |
| 68.7 | 31 |
| 23.0 | 15 |
| 32.8 | 13 |
| 53.0 | 7 |
| 58.5 | 5 |
| 73.6 | 2 |
| 78.3 | 2 |
| 73.6 | 1 |

***

Record 3
Simulated X-ray powder pattern of V2FeIr3 for Cu Kα (λ = 1.5418 Å), from a PBE-relaxed structure.
Lines closer than 0.1° are merged.

Structure:
a b c (Å): 6.105 6.105 3.666
angles (deg): 90.00 90.00 143.40
Sites, in units of the cell vectors:
V 0.160 0.840 0.000
V 0.840 0.160 0.000
Fe 0.500 0.500 0.000
Ir 0.000 0.000 0.500
Ir 0.334 0.666 0.500
Ir 0.666 0.334 0.500

The 10 most intense peaks (2θ = 10–80°), most intense first:
| 2theta | intensity |
| --- | --- |
| 41.3 | 100 |
| 24.3 | 31 |
| 32.9 | 29 |
| 47.0 | 17 |
| 47.4 | 17 |
| 49.7 | 15 |
| 60.9 | 11 |
| 69.0 | 11 |
| 70.9 | 10 |
| 71.2 | 10 |